This entry pairs a crystal structure of BaU2PdS5 with its computed X-ray diffraction stick pattern. Radiation: Cu Ka. Structure: a PBE-relaxed structure.

Atomic structure:
```
data_BaU2PdS5
_chemical_formula_sum 'Ba2 U4 Pd2 S10'
_cell_length_a 8.7797
_cell_length_b 8.7797
_cell_length_c 8.7797
_cell_angle_alpha 129.16
_cell_angle_beta 129.16
_cell_angle_gamma 74.75
_space_group_name_H-M_alt 'P 1'
_space_group_IT_number 1
_space_group_name_Hall 'P 1'
loop_
_atom_site_label
_atom_site_type_symbol
_atom_site_fract_x
_atom_site_fract_y
_atom_site_fract_z
_atom_site_occupancy
Ba1 Ba 0.2500 0.2500 0.0000 1
Ba2 Ba 0.7500 0.7500 0.0000 1
U1 U 0.1558 0.6558 0.8117 1
U2 U 0.3442 0.1558 0.5000 1
U3 U 0.6558 0.8442 0.5000 1
U4 U 0.8442 0.3442 0.1883 1
Pd1 Pd 0.2500 0.7500 0.5000 1
Pd2 Pd 0.7500 0.2500 0.5000 1
S1 S 0.0000 0.0000 0.0000 1
S2 S 0.0299 0.2242 0.5000 1
S3 S 0.2242 0.7242 0.1943 1
S4 S 0.2758 0.4701 0.5000 1
S5 S 0.4701 0.9701 0.1943 1
S6 S 0.5000 0.5000 0.0000 1
S7 S 0.5299 0.0299 0.8057 1
S8 S 0.7242 0.5299 0.5000 1
S9 S 0.7758 0.2758 0.8057 1
S10 S 0.9701 0.7758 0.5000 1
```

Main lines, in order of falling intensity (2θ = 10–90°):
2theta, intensity
32.8, 100
26.9, 68
27.2, 68
42.0, 52
25.5, 47
12.7, 40
37.7, 28
50.1, 25
40.0, 23
66.4, 17